(1)
The following is a computed X-ray powder pattern of SiS2F5. It was derived from a crystal structure in Alexandria, relaxed with PBE, using a wavelength of 1.5418 Å.

Atomic structure:
a = 3.669 Å, b = 5.838 Å, c = 6.083 Å
α = 85.10°, β = 82.13°, γ = 87.22°
Atoms (fractional coordinates):
Si (0.000, 0.000, 0.000)
S (0.327, 0.391, 0.500)
S (0.673, 0.609, 0.500)
F (0.006, 0.271, 0.876)
F (0.066, 0.894, 0.751)
F (0.500, 0.000, 0.000)
F (0.934, 0.106, 0.249)
F (0.994, 0.729, 0.124)

Top 10 peaks for 15° ≤ 2θ ≤ 90°, by angle:
- 2θ = 20.4°, intensity 100
- 2θ = 22.1°, intensity 72
- 2θ = 24.5°, intensity 18
- 2θ = 26.9°, intensity 34
- 2θ = 29.5°, intensity 26
- 2θ = 29.7°, intensity 20
- 2θ = 39.6°, intensity 17
- 2θ = 40.5°, intensity 14
- 2θ = 46.8°, intensity 26
- 2θ = 50.5°, intensity 15

=====

(2)
The following is a computed X-ray powder pattern of Si3SF. It was derived from a crystal structure in Alexandria, relaxed with PBE, using a wavelength of 1.5418 Å.

Atomic structure:
a = 4.481 Å, b = 4.481 Å, c = 4.481 Å
α = 90.00°, β = 90.00°, γ = 90.00°
Atoms (fractional coordinates):
Si (0.000, 0.000, 0.500)
Si (0.000, 0.500, 0.000)
Si (0.500, 0.000, 0.000)
S (0.500, 0.500, 0.500)
F (0.000, 0.000, 0.000)

Top 10 peaks for 15° ≤ 2θ ≤ 90°, by angle:
- 2θ = 19.8°, intensity 8
- 2θ = 28.2°, intensity 17
- 2θ = 34.7°, intensity 100
- 2θ = 40.3°, intensity 93
- 2θ = 45.3°, intensity 3
- 2θ = 49.9°, intensity 5
- 2θ = 58.2°, intensity 58
- 2θ = 69.6°, intensity 39
- 2θ = 73.2°, intensity 19
- 2θ = 87.0°, intensity 9

=====

(3)
The following is a computed X-ray powder pattern of SnSF. It was derived from a crystal structure in Alexandria, relaxed with PBE, using a wavelength of 1.5418 Å.

Atomic structure:
a = 6.159 Å, b = 7.479 Å, c = 5.617 Å
α = 90.00°, β = 90.00°, γ = 90.00°
Atoms (fractional coordinates):
Sn (0.048, 0.238, 0.000)
Sn (0.452, 0.738, 0.500)
Sn (0.548, 0.262, 0.500)
Sn (0.952, 0.762, 0.000)
S (0.031, 0.137, 0.500)
S (0.469, 0.637, 0.000)
S (0.531, 0.363, 0.000)
S (0.969, 0.863, 0.500)
F (0.212, 0.979, 0.000)
F (0.288, 0.479, 0.500)
F (0.712, 0.521, 0.500)
F (0.788, 0.021, 0.000)

Top 10 peaks for 15° ≤ 2θ ≤ 90°, by angle:
- 2θ = 21.4°, intensity 91
- 2θ = 23.8°, intensity 53
- 2θ = 29.0°, intensity 38
- 2θ = 31.4°, intensity 29
- 2θ = 31.9°, intensity 72
- 2θ = 32.2°, intensity 100
- 2θ = 37.8°, intensity 43
- 2θ = 40.2°, intensity 29
- 2θ = 50.3°, intensity 37
- 2θ = 53.8°, intensity 45

=====

(4)
The following is a computed X-ray powder pattern of SrZnSF2. It was derived from a crystal structure in Alexandria, relaxed with PBE, using a wavelength of 1.5418 Å.

Atomic structure:
a = 6.261 Å, b = 6.261 Å, c = 6.261 Å
α = 121.69°, β = 121.69°, γ = 87.10°
Atoms (fractional coordinates):
Sr (0.250, 0.750, 0.500)
Sr (0.750, 0.250, 0.500)
Zn (0.000, 0.000, 0.000)
Zn (0.500, 0.500, 0.000)
S (0.250, 0.250, 0.000)
S (0.750, 0.750, 0.000)
F (0.162, 0.662, 0.824)
F (0.338, 0.162, 0.500)
F (0.662, 0.838, 0.500)
F (0.838, 0.338, 0.176)

Top 10 peaks for 15° ≤ 2θ ≤ 90°, by angle:
- 2θ = 28.5°, intensity 91
- 2θ = 29.3°, intensity 100
- 2θ = 35.5°, intensity 18
- 2θ = 39.7°, intensity 38
- 2θ = 41.9°, intensity 48
- 2θ = 50.1°, intensity 43
- 2θ = 51.5°, intensity 57
- 2θ = 59.1°, intensity 33
- 2θ = 68.8°, intensity 21
- 2θ = 82.5°, intensity 25

=====

(5)
The following is a computed X-ray powder pattern of Te2S3F3. It was derived from a crystal structure in Alexandria, relaxed with PBE, using a wavelength of 1.5418 Å.

Atomic structure:
a = 9.204 Å, b = 9.204 Å, c = 9.204 Å
α = 85.75°, β = 85.75°, γ = 85.75°
Atoms (fractional coordinates):
Te (0.233, 0.233, 0.233)
Te (0.237, 0.723, 0.763)
Te (0.237, 0.763, 0.277)
Te (0.277, 0.237, 0.763)
Te (0.723, 0.763, 0.237)
Te (0.763, 0.237, 0.723)
Te (0.763, 0.277, 0.237)
Te (0.767, 0.767, 0.767)
S (0.040, 0.352, 0.098)
S (0.098, 0.040, 0.352)
S (0.113, 0.690, 0.555)
S (0.310, 0.445, 0.887)
S (0.352, 0.098, 0.040)
S (0.445, 0.887, 0.310)
S (0.555, 0.113, 0.690)
S (0.648, 0.902, 0.960)
S (0.690, 0.555, 0.113)
S (0.887, 0.310, 0.445)
S (0.902, 0.960, 0.648)
S (0.960, 0.648, 0.902)
F (0.059, 0.271, 0.754)
F (0.246, 0.941, 0.729)
F (0.271, 0.753, 0.059)
F (0.285, 0.333, 0.566)
F (0.333, 0.566, 0.285)
F (0.434, 0.715, 0.667)
F (0.566, 0.285, 0.333)
F (0.667, 0.434, 0.715)
F (0.715, 0.667, 0.434)
F (0.729, 0.246, 0.941)
F (0.753, 0.059, 0.271)
F (0.941, 0.729, 0.247)

Top 10 peaks for 15° ≤ 2θ ≤ 90°, by angle:
- 2θ = 15.6°, intensity 9
- 2θ = 19.4°, intensity 100
- 2θ = 26.6°, intensity 34
- 2θ = 28.5°, intensity 32
- 2θ = 34.7°, intensity 17
- 2θ = 39.4°, intensity 12
- 2θ = 42.9°, intensity 23
- 2θ = 45.5°, intensity 19
- 2θ = 45.7°, intensity 12
- 2θ = 49.3°, intensity 10

=====

(6)
The following is a computed X-ray powder pattern of TeS4F. It was derived from a crystal structure in Alexandria, relaxed with PBE, using a wavelength of 1.5418 Å.

Atomic structure:
a = 5.011 Å, b = 5.352 Å, c = 6.393 Å
α = 97.72°, β = 101.45°, γ = 108.64°
Atoms (fractional coordinates):
Te (0.000, 0.000, 0.000)
S (0.327, 0.146, 0.719)
S (0.492, 0.857, 0.707)
S (0.507, 0.277, 0.285)
S (0.647, 0.970, 0.276)
F (0.996, 0.368, 0.006)

Top 10 peaks for 15° ≤ 2θ ≤ 90°, by angle:
- 2θ = 17.9°, intensity 100
- 2θ = 20.5°, intensity 32
- 2θ = 21.0°, intensity 22
- 2θ = 26.4°, intensity 16
- 2θ = 27.1°, intensity 53
- 2θ = 30.7°, intensity 50
- 2θ = 34.5°, intensity 19
- 2θ = 36.1°, intensity 28
- 2θ = 38.0°, intensity 19
- 2θ = 39.3°, intensity 29

=====

(7)
The following is a computed X-ray powder pattern of Tl2SF6. It was derived from a crystal structure in Alexandria, relaxed with PBE, using a wavelength of 1.5418 Å.

Atomic structure:
a = 6.199 Å, b = 6.199 Å, c = 6.199 Å
α = 60.00°, β = 60.00°, γ = 60.00°
Atoms (fractional coordinates):
Tl (0.250, 0.250, 0.250)
Tl (0.750, 0.750, 0.750)
S (0.000, 0.000, 0.000)
F (0.214, 0.214, 0.786)
F (0.214, 0.786, 0.214)
F (0.214, 0.786, 0.786)
F (0.786, 0.214, 0.214)
F (0.786, 0.214, 0.786)
F (0.786, 0.786, 0.214)

Top 10 peaks for 15° ≤ 2θ ≤ 90°, by angle:
- 2θ = 20.3°, intensity 73
- 2θ = 28.8°, intensity 100
- 2θ = 35.5°, intensity 54
- 2θ = 41.2°, intensity 34
- 2θ = 46.3°, intensity 41
- 2θ = 51.0°, intensity 40
- 2θ = 59.7°, intensity 21
- 2θ = 63.7°, intensity 21
- 2θ = 67.6°, intensity 21
- 2θ = 82.3°, intensity 23

=====

(8)
The following is a computed X-ray powder pattern of Tl3SF2. It was derived from a crystal structure in Alexandria, relaxed with PBE, using a wavelength of 1.5418 Å.

Atomic structure:
a = 7.313 Å, b = 7.313 Å, c = 7.313 Å
α = 146.68°, β = 137.45°, γ = 55.08°
Atoms (fractional coordinates):
Tl (0.000, 0.000, 0.000)
Tl (0.324, 0.324, 0.000)
Tl (0.676, 0.676, 0.000)
S (0.500, 0.000, 0.500)
F (0.129, 0.629, 0.500)
F (0.871, 0.371, 0.500)

Top 10 peaks for 15° ≤ 2θ ≤ 90°, by angle:
- 2θ = 26.6°, intensity 84
- 2θ = 27.1°, intensity 79
- 2θ = 29.7°, intensity 100
- 2θ = 33.8°, intensity 37
- 2θ = 41.8°, intensity 17
- 2θ = 43.1°, intensity 19
- 2θ = 45.6°, intensity 62
- 2θ = 50.5°, intensity 31
- 2θ = 51.4°, intensity 30
- 2θ = 55.9°, intensity 18